[1]
Rb5InAs2: calculated XRD peak list (CuKα), based on a crystal structure in Alexandria, relaxed with GGA-PBE.

```
data_Rb5InAs2
_chemical_formula_sum 'Rb15 In3 As6'
_cell_length_a 6.0127
_cell_length_b 6.0127
_cell_length_c 45.6223
_cell_angle_alpha 90.00
_cell_angle_beta 90.00
_cell_angle_gamma 120.00
_symmetry_space_group_name_H-M 'R -3 m'
_symmetry_Int_Tables_number 166
_symmetry_space_group_name_Hall '-R 3 2"'
loop_
_atom_site_label
_atom_site_type_symbol
_atom_site_fract_x
_atom_site_fract_y
_atom_site_fract_z
Rb1 Rb 0.0000 0.0000 0.0000
Rb2 Rb 0.0000 0.0000 0.1287
Rb3 Rb 0.0000 0.0000 0.2551
In1 In 0.0000 0.0000 0.5000
As1 As 0.0000 0.0000 0.4450
```

Main lines, by intensity (5 to 70 degrees two-theta):
h k l  two_theta  intensity
0 0 3  5.81  100.0
1 1 0  29.72  77.6
0 1 8  23.13  46.5
1 0 16  35.91  38.9
1 0 4  18.73  26.1
1 0 7  21.85  24.0
2 1 16  56.84  19.9
0 0 9  17.48  17.1
0 2 16  47.28  16.6
3 0 0  52.74  15.0
1 1 3  30.31  14.7
2 0 8  37.99  12.5

=====

[2]
Nd3Y2Er4: calculated XRD peak list (CuKα), based on a crystal structure in Alexandria, relaxed with GGA-PBE.

```
data_Nd3Y2Er4
_chemical_formula_sum 'Nd12 Y8 Er16'
_cell_length_a 16.6470
_cell_length_b 11.6890
_cell_length_c 6.0529
_cell_angle_alpha 90.00
_cell_angle_beta 97.65
_cell_angle_gamma 90.00
_symmetry_space_group_name_H-M 'C 1 2/c 1'
_symmetry_Int_Tables_number 15
loop_
_symmetry_equiv_pos_as_xyz
'x,y,z'
'-x,-y,-z'
'-x,y,-z+1/2'
'x,-y,z+1/2'
'x+1/2,y+1/2,z'
'-x+1/2,-y+1/2,-z'
'-x+1/2,y+1/2,-z+1/2'
'x+1/2,-y+1/2,z+1/2'
loop_
_atom_site_label
_atom_site_type_symbol
_atom_site_fract_x
_atom_site_fract_y
_atom_site_fract_z
Nd1 Nd 0.0000 0.1106 0.2500
Nd2 Nd 0.1662 0.3947 0.0853
Y1 Y 0.1182 0.1293 0.8103
Er1 Er 0.0501 0.3691 0.5212
Er2 Er 0.2185 0.1357 0.3505
```

Main lines, by intensity (5 to 70 degrees two-theta):
h k l  two_theta  intensity
0 4 0  30.57  100.0
4 2 1  31.84  89.8
5 1 -1  30.11  52.7
5 3 -1  37.30  30.0
1 3 -2  37.66  27.8
6 2 -3  55.37  27.3
4 6 1  55.17  15.5
1 5 -2  49.28  12.6
9 1 0  50.39  12.4
3 1 3  51.24  12.0
5 5 -1  48.98  11.2
8 4 2  66.54  9.3

=====

[3]
Ga5Fe10Ni: calculated XRD peak list (CuKα), based on a crystal structure in Alexandria, relaxed with GGA-PBE.

```
data_Ga5Fe10Ni
_chemical_formula_sum 'Ga10 Fe20 Ni2'
_cell_length_a 9.3357
_cell_length_b 9.3357
_cell_length_c 4.6007
_cell_angle_alpha 90.00
_cell_angle_beta 90.00
_cell_angle_gamma 90.00
_symmetry_space_group_name_H-M 'I 4 2 2'
_symmetry_Int_Tables_number 97
_symmetry_space_group_name_Hall 'I 4 2'
loop_
_atom_site_label
_atom_site_type_symbol
_atom_site_fract_x
_atom_site_fract_y
_atom_site_fract_z
Ga1 Ga 0.0000 0.0000 0.0000
Ga2 Ga 0.1703 0.3297 0.2500
Fe1 Fe 0.0000 0.5000 0.0000
Fe2 Fe 0.0710 0.2323 0.7468
Ni1 Ni 0.0000 0.0000 0.5000
```

Main lines, by intensity (5 to 70 degrees two-theta):
h k l  two_theta  intensity
4 1 1  44.60  100.0
4 2 0  43.34  54.0
2 0 2  43.88  50.6
2 2 2  48.22  31.9
3 2 1  39.95  23.1
0 0 2  39.16  18.5
5 2 1  56.75  18.1
4 0 0  38.58  13.2
3 3 0  41.02  11.8
3 3 2  58.00  10.8
5 3 0  57.57  6.6
3 1 0  30.27  5.4

=====

[4]
Y7Bi2Sb2: calculated XRD peak list (CuKα), based on a crystal structure in Alexandria, relaxed with GGA-PBE.

```
data_Y7Bi2Sb2
_chemical_formula_sum 'Y14 Bi4 Sb4'
_cell_length_a 9.3624
_cell_length_b 10.9503
_cell_length_c 7.0520
_cell_angle_alpha 90.00
_cell_angle_beta 90.00
_cell_angle_gamma 90.00
_symmetry_space_group_name_H-M 'C m m m'
_symmetry_Int_Tables_number 65
_symmetry_space_group_name_Hall '-C 2 2'
loop_
_atom_site_label
_atom_site_type_symbol
_atom_site_fract_x
_atom_site_fract_y
_atom_site_fract_z
Y1 Y 0.0000 0.0000 0.0000
Y2 Y 0.0000 0.5000 0.2579
Y3 Y 0.2500 0.2500 0.2641
Bi1 Bi 0.1958 0.0000 0.5000
Sb1 Sb 0.0000 0.2759 0.0000
```

Main lines, by intensity (5 to 70 degrees two-theta):
h k l  two_theta  intensity
2 2 2  35.86  100.0
2 0 1  22.80  73.3
0 2 1  20.54  56.0
0 4 0  32.71  49.6
2 4 1  40.25  28.9
1 1 2  28.25  26.0
1 3 2  36.72  25.7
3 3 1  40.11  23.7
3 1 1  32.42  22.5
3 1 0  29.77  19.1
4 0 0  38.46  19.1
2 6 2  60.44  17.8